Record 1
Theoretical XRD peak list of Y2Ho2Sc5 for CuKα, from a PBE-relaxed structure.
Neutral-atom scattering factors, no anomalous dispersion.

Principal peaks in the range 2θ from 10° to 80°, by angle:
2θ = 13.6°, rel. 72.0; 2θ = 30.6°, rel. 70.1; 2θ = 31.7°, rel. 57.4; 2θ = 32.7°, rel. 80.1; 2θ = 33.8°, rel. 100.0; 2θ = 34.4°, rel. 69.7

Structure:
Lattice parameters (Å, degrees): 8.862 8.862 8.862 98.06 124.10 107.41
Atoms (fractional coordinates):
Y: 0.126 0.105 0.231
Y: 0.126 0.395 0.520
Y: 0.874 0.605 0.480
Y: 0.874 0.895 0.769
Ho: 0.565 0.065 0.500
Ho: 0.565 0.565 0.000
Ho: 0.585 0.442 0.643
Ho: 0.799 0.942 0.357
Sc: 0.243 0.178 0.813
Sc: 0.243 0.930 0.565
Sc: 0.289 0.809 0.980
Sc: 0.364 0.430 0.187
Sc: 0.364 0.678 0.435
Sc: 0.612 0.206 0.208
Sc: 0.612 0.905 0.906
Sc: 0.828 0.309 0.020
Sc: 0.998 0.405 0.792
Sc: 0.998 0.706 0.094

Record 2
Theoretical XRD peak list of V2CuRu4 for CuKα, from a PBE-relaxed structure.
Neutral-atom scattering factors, no anomalous dispersion.

Principal peaks in the range 2θ from 10° to 80°, by angle:
2θ = 10.1°, rel. 77.2; 2θ = 37.1°, rel. 19.9; 2θ = 41.4°, rel. 54.6; 2θ = 42.0°, rel. 100.0; 2θ = 42.8°, rel. 55.0; 2θ = 45.3°, rel. 64.6

Structure:
Lattice parameters (Å, degrees): 9.104 9.104 9.104 163.19 153.18 31.83
Atoms (fractional coordinates):
V: 0.083 0.083 0.000
V: 0.917 0.917 0.000
Cu: 0.500 0.500 0.000
Ru: 0.227 0.727 0.500
Ru: 0.359 0.359 0.000
Ru: 0.641 0.641 0.000
Ru: 0.773 0.273 0.500

Record 3
Theoretical XRD peak list of Pr16Ho6Er7 for CuKα, from a PBE-relaxed structure.
Neutral-atom scattering factors, no anomalous dispersion.

Principal peaks in the range 2θ from 10° to 80°, by angle:
2θ = 28.9°, rel. 6.9; 2θ = 31.5°, rel. 100.0; 2θ = 45.2°, rel. 15.3; 2θ = 56.2°, rel. 29.3; 2θ = 65.8°, rel. 8.2; 2θ = 74.8°, rel. 9.0

Structure:
Lattice parameters (Å, degrees): 11.348 11.348 11.348 60.00 60.00 60.00
Atoms (fractional coordinates):
Pr: 0.056 0.648 0.648
Pr: 0.125 0.125 0.125
Pr: 0.125 0.125 0.625
Pr: 0.125 0.625 0.125
Pr: 0.352 0.352 0.352
Pr: 0.352 0.352 0.944
Pr: 0.352 0.944 0.352
Pr: 0.375 0.875 0.875
Pr: 0.625 0.125 0.125
Pr: 0.648 0.056 0.648
Pr: 0.648 0.648 0.056
Pr: 0.648 0.648 0.648
Pr: 0.875 0.375 0.875
Pr: 0.875 0.875 0.375
Pr: 0.875 0.875 0.875
Pr: 0.944 0.352 0.352
Ho: 0.263 0.263 0.737
Ho: 0.263 0.737 0.263
Ho: 0.263 0.737 0.737
Ho: 0.737 0.263 0.263
Ho: 0.737 0.263 0.737
Ho: 0.737 0.737 0.263
Er: 0.000 0.000 0.000
Er: 0.000 0.000 0.500
Er: 0.000 0.500 0.000
Er: 0.000 0.500 0.500
Er: 0.500 0.000 0.000
Er: 0.500 0.000 0.500
Er: 0.500 0.500 0.000

Record 4
Theoretical XRD peak list of CaTb3Sm3 for CuKα, from a PBE-relaxed structure.
Neutral-atom scattering factors, no anomalous dispersion.

Principal peaks in the range 2θ from 10° to 80°, by angle:
2θ = 12.4°, rel. 35.3; 2θ = 30.0°, rel. 28.0; 2θ = 31.3°, rel. 87.9; 2θ = 31.6°, rel. 100.0; 2θ = 32.4°, rel. 60.1; 2θ = 37.2°, rel. 26.0

Structure:
Lattice parameters (Å, degrees): 9.079 9.079 9.079 57.36 57.36 57.36
Atoms (fractional coordinates):
Ca: 0.155 0.155 0.155
Ca: 0.845 0.845 0.845
Tb: 0.218 0.673 0.433
Tb: 0.327 0.567 0.782
Tb: 0.433 0.218 0.673
Tb: 0.567 0.782 0.327
Tb: 0.673 0.433 0.218
Tb: 0.782 0.327 0.567
Sm: 0.070 0.566 0.232
Sm: 0.232 0.070 0.566
Sm: 0.434 0.768 0.930
Sm: 0.566 0.232 0.070
Sm: 0.768 0.930 0.434
Sm: 0.930 0.434 0.768

Record 5
Theoretical XRD peak list of Pr2Ho6Er3 for CuKα, from a PBE-relaxed structure.
Neutral-atom scattering factors, no anomalous dispersion.

Principal peaks in the range 2θ from 10° to 80°, by angle:
2θ = 28.8°, rel. 100.0; 2θ = 34.5°, rel. 76.8; 2θ = 38.1°, rel. 59.8; 2θ = 50.8°, rel. 25.5; 2θ = 62.5°, rel. 25.7; 2θ = 66.5°, rel. 22.9

Structure:
Lattice parameters (Å, degrees): 16.931 16.931 16.931 163.96 163.96 22.75
Atoms (fractional coordinates):
Pr: 0.046 0.046 0.000
Pr: 0.954 0.954 0.000
Ho: 0.123 0.623 0.500
Ho: 0.196 0.196 0.000
Ho: 0.377 0.877 0.500
Ho: 0.623 0.123 0.500
Ho: 0.804 0.804 0.000
Ho: 0.877 0.377 0.500
Er: 0.299 0.299 0.000
Er: 0.500 0.500 0.000
Er: 0.701 0.701 0.000

Record 6
Theoretical XRD peak list of Ho2Sc2Tl for CuKα, from a PBE-relaxed structure.
Neutral-atom scattering factors, no anomalous dispersion.

Principal peaks in the range 2θ from 10° to 80°, by angle:
2θ = 18.3°, rel. 100.0; 2θ = 30.3°, rel. 35.3; 2θ = 32.7°, rel. 56.3; 2θ = 32.9°, rel. 40.8; 2θ = 37.1°, rel. 35.1; 2θ = 37.7°, rel. 77.7

Structure:
Lattice parameters (Å, degrees): 6.591 9.033 4.848 90.00 90.00 90.00
Atoms (fractional coordinates):
Ho: 0.098 0.168 0.000
Ho: 0.402 0.668 0.000
Ho: 0.598 0.332 0.000
Ho: 0.902 0.832 0.000
Sc: 0.233 0.924 0.500
Sc: 0.267 0.424 0.500
Sc: 0.733 0.576 0.500
Sc: 0.767 0.076 0.500
Tl: 0.000 0.500 0.000
Tl: 0.500 0.000 0.000